The following is a simulated X-ray powder pattern of Na2Te4MoO12. It was derived from DFT lattice parameters and positions (PBE+U), using Cu Kα (λ = 1.5418 Å).

Cell and atoms:
```
data_Na2Te4MoO12
_chemical_formula_sum 'Na8 Te16 Mo4 O48'
_cell_length_a 17.392
_cell_length_b 5.981
_cell_length_c 11.561
_cell_angle_alpha 90.00
_cell_angle_beta 105.50
_cell_angle_gamma 90.00
_space_group_name_H-M_alt 'C 1 2/c 1'
_space_group_IT_number 15
_space_group_name_Hall '-C 2yc'
loop_
_atom_site_label
_atom_site_type_symbol
_atom_site_fract_x
_atom_site_fract_y
_atom_site_fract_z
_atom_site_occupancy
Na1 Na 0.208 0.218 0.259 1
Te1 Te 0.094 0.230 0.596 1
Te2 Te 0.157 0.331 0.932 1
Mo1 Mo 0.000 0.332 0.250 1
O1 O 0.011 0.384 0.635 1
O2 O 0.024 0.146 0.145 1
O3 O 0.112 0.392 0.338 1
O4 O 0.160 0.162 0.752 1
O5 O 0.163 0.490 0.588 1
O6 O 0.239 0.076 0.069 1
```

Most intense lines, 10° ≤ 2θ ≤ 90°, sorted by position:
2θ/deg, I (rel.), (hkl)
15.73, 22, 1 1 0
21.39, 19, 2 0 2
21.68, 100, 3 1 -1
24.38, 21, 3 1 -2
27.56, 97, 1 1 -3
29.73, 58, 5 1 -1
29.90, 74, 4 0 2
29.99, 25, 1 1 3
33.53, 45, 4 0 -4
42.79, 25, 4 2 2
49.84, 26, 3 3 -2
50.34, 19, 3 1 5